[1]
For Sr3Ca5Hg2, a cell relaxed with PBE gives the computed PXRD pattern in this record (Cu Kα).

Structure:
```
data_Sr3Ca5Hg2
_chemical_formula_sum 'Sr6 Ca10 Hg4'
_cell_length_a 12.703
_cell_length_b 12.703
_cell_length_c 4.963
_cell_angle_alpha 90.00
_cell_angle_beta 90.00
_cell_angle_gamma 90.00
_space_group_name_H-M_alt 'P 4/m b m'
_space_group_IT_number 127
_space_group_name_Hall '-P 4 2ab'
loop_
_atom_site_label
_atom_site_type_symbol
_atom_site_fract_x
_atom_site_fract_y
_atom_site_fract_z
_atom_site_occupancy
Sr1 Sr 0.000 0.000 0.000 1
Sr2 Sr 0.173 0.327 0.000 1
Ca1 Ca 0.000 0.500 0.500 1
Ca2 Ca 0.072 0.780 0.500 1
Hg1 Hg 0.120 0.620 0.000 1
```

Main lines, sorted by position (2θ = 10–90°):
15.6°, I = 41, hkl 2 1 0; 17.9°, I = 39, hkl 0 0 1; 22.1°, I = 36, hkl 3 1 0; 28.6°, I = 100, hkl 3 1 1; 31.1°, I = 72, hkl 3 2 1; 33.5°, I = 36, hkl 4 0 1

[2]
For DyHgF6, a cell relaxed with PBE gives the computed PXRD pattern in this record (Cu Kα).

Structure:
```
data_DyHgF6
_chemical_formula_sum 'Dy4 Hg4 F24'
_cell_length_a 7.932
_cell_length_b 10.923
_cell_length_c 5.347
_cell_angle_alpha 90.00
_cell_angle_beta 90.00
_cell_angle_gamma 90.00
_space_group_name_H-M_alt 'C m m e'
_space_group_IT_number 67
_space_group_name_Hall '-C 2a 2'
loop_
_atom_site_label
_atom_site_type_symbol
_atom_site_fract_x
_atom_site_fract_y
_atom_site_fract_z
_atom_site_occupancy
Dy1 Dy 0.250 0.000 0.000 1
Hg1 Hg 0.000 0.250 0.450 1
F1 F 0.000 0.100 0.141 1
F2 F 0.174 0.127 0.700 1
```

Main lines, sorted by position (2θ = 10–90°):
23.3°, I = 100, hkl 0 2 1; 27.8°, I = 60, hkl 2 2 0; 28.0°, I = 47, hkl 2 0 1; 43.7°, I = 44, hkl 2 4 1; 44.1°, I = 31, hkl 2 2 2; 52.0°, I = 23, hkl 4 2 1

Please write out number 2 again, unchanged.
For DyHgF6, a cell relaxed with PBE gives the computed PXRD pattern in this record (Cu Kα).

Structure:
```
data_DyHgF6
_chemical_formula_sum 'Dy4 Hg4 F24'
_cell_length_a 7.932
_cell_length_b 10.923
_cell_length_c 5.347
_cell_angle_alpha 90.00
_cell_angle_beta 90.00
_cell_angle_gamma 90.00
_space_group_name_H-M_alt 'C m m e'
_space_group_IT_number 67
_space_group_name_Hall '-C 2a 2'
loop_
_atom_site_label
_atom_site_type_symbol
_atom_site_fract_x
_atom_site_fract_y
_atom_site_fract_z
_atom_site_occupancy
Dy1 Dy 0.250 0.000 0.000 1
Hg1 Hg 0.000 0.250 0.450 1
F1 F 0.000 0.100 0.141 1
F2 F 0.174 0.127 0.700 1
```

Main lines, sorted by position (2θ = 10–90°):
23.3°, I = 100, hkl 0 2 1; 27.8°, I = 60, hkl 2 2 0; 28.0°, I = 47, hkl 2 0 1; 43.7°, I = 44, hkl 2 4 1; 44.1°, I = 31, hkl 2 2 2; 52.0°, I = 23, hkl 4 2 1